Ba3NaIr2O9: calculated powder diffractogram (Cu Kα (weighted mean of Kα1 and Kα2)), based on a PBE-relaxed structure.
No peak broadening, texture or thermal motion is included.

Largest 12 diffraction maxima, in order of rising 2θ, 2θ = 15–90°:
2θ/deg  intensity  h k l
17.17  20  0 2 0
17.97  12  1 1 -1
18.21  13  0 2 1
18.35  15  1 1 1
29.12  15  1 1 -4
29.63  14  0 2 4
29.96  100  1 3 0
34.29  13  1 1 -5
34.83  14  0 2 5
35.33  14  1 1 5
53.14  13  3 3 0
62.32  12  2 6 0

Crystal structure
```
data_Ba3NaIr2O9
_cell_length_a 5.9807
_cell_length_b 10.3128
_cell_length_c 14.8737
_cell_angle_alpha 90.00
_cell_angle_beta 92.20
_cell_angle_gamma 90.00
_space_group_name_H-M_alt 'C 1 2/c 1'
_space_group_IT_number 15
loop_
_space_group_symop_operation_xyz
'x,y,z'
'-x,-y,-z'
'-x,y,-z+1/2'
'x,-y,z+1/2'
'x+1/2,y+1/2,z'
'-x+1/2,-y+1/2,-z'
'-x+1/2,y+1/2,-z+1/2'
'x+1/2,-y+1/2,z+1/2'
loop_
_atom_site_label
_atom_site_type_symbol
_atom_site_fract_x
_atom_site_fract_y
_atom_site_fract_z
_atom_site_occupancy
Ba1 Ba 0.0000 0.0014 0.2500 1
Ba2 Ba 0.0060 0.3340 0.5847 1
Na1 Na 0.0000 0.0000 0.0000 1
Ir1 Ir 0.0159 0.3318 0.1574 1
O1 O 0.0000 0.4813 0.2500 1
O2 O 0.0315 0.1743 0.0907 1
O3 O 0.2025 0.4081 0.4231 1
O4 O 0.2225 0.2583 0.2604 1
O5 O 0.2381 0.0919 0.9021 1
```